# 1
# TaFeGe
Computed X-ray powder pattern, Cu Ka. Input: a structure optimized by DFT (GGA-PBE).

```
data_TaFeGe
_cell_length_a 6.235
_cell_length_b 3.841
_cell_length_c 7.119
_cell_angle_alpha 90.00
_cell_angle_beta 90.00
_cell_angle_gamma 90.00
_symmetry_space_group_name_H-M 'P n m a'
_symmetry_Int_Tables_number 62
loop_
_symmetry_equiv_pos_as_xyz
'x,y,z'
'-x,-y,-z'
'-x+1/2,-y,z+1/2'
'x+1/2,y,-z+1/2'
'x+1/2,-y+1/2,-z+1/2'
'-x+1/2,y+1/2,z+1/2'
'-x,y+1/2,-z'
'x,-y+1/2,z'
loop_
_atom_site_label
_atom_site_type_symbol
_atom_site_fract_x
_atom_site_fract_y
_atom_site_fract_z
Ta1 Ta 0.016 0.250 0.189
Fe1 Fe 0.149 0.250 0.562
Ge1 Ge 0.227 0.750 0.382
```

Top 6 peaks for 2θ = 10–90°, by intensity:
| d [Å] | Rel. int. | h k l |
| --- | --- | --- |
| 2.292 | 100 | 2 1 1 |
| 2.408 | 62 | 1 1 2 |
| 1.920 | 38 | 0 2 0 |
| 2.218 | 28 | 1 0 3 |
| 3.380 | 25 | 0 1 1 |
| 2.019 | 25 | 0 1 3 |

=====

# 2
# NbF3
Computed X-ray powder pattern, Cu Ka. Input: a structure optimized by DFT (GGA-PBE).

```
data_NbF3
_cell_length_a 4.195
_cell_length_b 4.195
_cell_length_c 4.195
_cell_angle_alpha 90.00
_cell_angle_beta 90.00
_cell_angle_gamma 90.00
_symmetry_space_group_name_H-M 'P m -3 m'
_symmetry_Int_Tables_number 221
_symmetry_space_group_name_Hall '-P 4 2 3'
loop_
_atom_site_label
_atom_site_type_symbol
_atom_site_fract_x
_atom_site_fract_y
_atom_site_fract_z
Nb1 Nb 0.000 0.000 0.000
F1 F 0.000 0.000 0.500
```

Top 6 peaks for 2θ = 10–90°, by intensity:
| d [Å] | Rel. int. | h k l |
| --- | --- | --- |
| 4.195 | 100 | 1 0 0 |
| 1.876 | 40 | 2 1 0 |
| 2.966 | 34 | 1 1 0 |
| 2.098 | 25 | 2 0 0 |
| 1.398 | 18 | 3 0 0 |
| 1.483 | 15 | 2 2 0 |

=====

# 3
# NaAl3Si3H2O12
Computed X-ray powder pattern, Cu Ka. Input: a structure optimized by DFT (GGA-PBE).

```
data_NaAl3Si3H2O12
_cell_length_a 5.182
_cell_length_b 8.992
_cell_length_c 19.632
_cell_angle_alpha 90.00
_cell_angle_beta 94.83
_cell_angle_gamma 90.00
_symmetry_space_group_name_H-M 'C 1 c 1'
_symmetry_Int_Tables_number 9
loop_
_symmetry_equiv_pos_as_xyz
'x,y,z'
'x,-y,z+1/2'
'x+1/2,y+1/2,z'
'x+1/2,-y+1/2,z+1/2'
loop_
_atom_site_label
_atom_site_type_symbol
_atom_site_fract_x
_atom_site_fract_y
_atom_site_fract_z
Na1 Na 0.000 0.092 0.000
Al1 Al 0.262 0.419 0.768
Al2 Al 0.265 0.083 0.767
Al3 Al 0.468 0.073 0.405
Si1 Si 0.064 0.430 0.126
Si2 Si 0.079 0.241 0.626
Si3 Si 0.454 0.256 0.907
H1 H 0.139 0.148 0.200
H2 H 0.393 0.354 0.338
O1 O 0.053 0.057 0.211
O2 O 0.057 0.439 0.208
O3 O 0.119 0.407 0.592
O4 O 0.139 0.250 0.709
O5 O 0.267 0.222 0.426
O6 O 0.280 0.129 0.591
O7 O 0.280 0.309 0.103
O8 O 0.287 0.388 0.940
O9 O 0.369 0.097 0.939
O10 O 0.388 0.253 0.822
O11 O 0.468 0.436 0.315
O12 O 0.472 0.054 0.316
```

Top 6 peaks for 2θ = 10–90°, by intensity:
| d [Å] | Rel. int. | h k l |
| --- | --- | --- |
| 2.553 | 100 | 2 0 -2 |
| 4.436 | 78 | 1 1 -1 |
| 3.260 | 67 | 0 0 6 |
| 1.496 | 64 | 3 3 -1 |
| 2.445 | 47 | 2 0 2 |
| 3.310 | 39 | 0 2 4 |

=====

# 4
# MgGe5
Computed X-ray powder pattern, Cu Ka. Input: a structure optimized by DFT (GGA-PBE).

```
data_MgGe5
_cell_length_a 11.047
_cell_length_b 3.332
_cell_length_c 6.828
_cell_angle_alpha 90.00
_cell_angle_beta 109.11
_cell_angle_gamma 90.00
_symmetry_space_group_name_H-M 'C 1 m 1'
_symmetry_Int_Tables_number 8
loop_
_symmetry_equiv_pos_as_xyz
'x,y,z'
'x,-y,z'
'x+1/2,y+1/2,z'
'x+1/2,-y+1/2,z'
loop_
_atom_site_label
_atom_site_type_symbol
_atom_site_fract_x
_atom_site_fract_y
_atom_site_fract_z
Mg1 Mg 0.000 0.000 0.000
Ge1 Ge 0.109 0.500 0.719
Ge2 Ge 0.172 0.500 0.346
Ge3 Ge 0.281 0.000 0.055
Ge4 Ge 0.329 0.000 0.659
Ge5 Ge 0.440 0.500 0.400
```

Top 6 peaks for 2θ = 10–90°, by intensity:
| d [Å] | Rel. int. | h k l |
| --- | --- | --- |
| 2.406 | 100 | 3 1 0 |
| 2.384 | 100 | 1 1 -2 |
| 2.461 | 72 | 4 0 -2 |
| 2.742 | 52 | 1 1 1 |
| 2.183 | 40 | 4 0 1 |
| 2.150 | 36 | 0 0 3 |

=====

# 5
# Sn4Pd
Computed X-ray powder pattern, Cu Ka. Input: a structure optimized by DFT (GGA-PBE).

```
data_Sn4Pd
_cell_length_a 6.562
_cell_length_b 11.653
_cell_length_c 6.530
_cell_angle_alpha 90.00
_cell_angle_beta 90.00
_cell_angle_gamma 90.00
_symmetry_space_group_name_H-M 'C c c e'
_symmetry_Int_Tables_number 68
loop_
_symmetry_equiv_pos_as_xyz
'x,y,z'
'-x,-y,-z'
'-x+1/2,-y,z'
'x+1/2,y,-z'
'x+1/2,-y,-z+1/2'
'-x+1/2,y,z+1/2'
'-x,y,-z+1/2'
'x,-y,z+1/2'
'x+1/2,y+1/2,z'
'-x+1/2,-y+1/2,-z'
'-x,-y+1/2,z'
'x,y+1/2,-z'
'x,-y+1/2,-z+1/2'
'-x,y+1/2,z+1/2'
'-x+1/2,y+1/2,-z+1/2'
'x+1/2,-y+1/2,z+1/2'
loop_
_atom_site_label
_atom_site_type_symbol
_atom_site_fract_x
_atom_site_fract_y
_atom_site_fract_z
Sn1 Sn 0.171 0.123 0.079
Pd1 Pd 0.000 0.250 0.750
```

Top 6 peaks for 2θ = 10–90°, by intensity:
| d [Å] | Rel. int. | h k l |
| --- | --- | --- |
| 2.619 | 100 | 2 2 1 |
| 2.176 | 64 | 0 4 2 |
| 2.835 | 62 | 1 1 2 |
| 2.975 | 39 | 1 3 1 |
| 2.913 | 36 | 0 4 0 |
| 2.336 | 34 | 1 3 2 |

=====

# 6
# CaUO4
Computed X-ray powder pattern, Cu Ka. Input: a structure optimized by DFT (GGA-PBE).

```
data_CaUO4
_cell_length_a 6.119
_cell_length_b 4.252
_cell_length_c 6.203
_cell_angle_alpha 90.00
_cell_angle_beta 116.39
_cell_angle_gamma 90.00
_symmetry_space_group_name_H-M 'C 1 2/m 1'
_symmetry_Int_Tables_number 12
loop_
_symmetry_equiv_pos_as_xyz
'x,y,z'
'-x,-y,-z'
'-x,y,-z'
'x,-y,z'
'x+1/2,y+1/2,z'
'-x+1/2,-y+1/2,-z'
'-x+1/2,y+1/2,-z'
'x+1/2,-y+1/2,z'
loop_
_atom_site_label
_atom_site_type_symbol
_atom_site_fract_x
_atom_site_fract_y
_atom_site_fract_z
Ca1 Ca 0.000 0.000 0.000
U1 U 0.000 0.000 0.500
O1 O 0.226 0.500 0.602
O2 O 0.250 0.000 0.838
```

Top 6 peaks for 2θ = 10–90°, by intensity:
| d [Å] | Rel. int. | h k l |
| --- | --- | --- |
| 3.360 | 100 | 1 1 0 |
| 5.557 | 85 | 0 0 1 |
| 3.301 | 48 | 1 1 -1 |
| 1.902 | 31 | 1 1 2 |
| 2.778 | 30 | 0 0 2 |
| 2.618 | 30 | 2 0 -2 |

=====

# 7
# Ho3Cu4Sn4
Computed X-ray powder pattern, Cu Ka. Input: a structure optimized by DFT (GGA-PBE).

```
data_Ho3Cu4Sn4
_cell_length_a 4.465
_cell_length_b 6.937
_cell_length_c 14.669
_cell_angle_alpha 90.00
_cell_angle_beta 90.00
_cell_angle_gamma 90.00
_symmetry_space_group_name_H-M 'I m m m'
_symmetry_Int_Tables_number 71
_symmetry_space_group_name_Hall '-I 2 2'
loop_
_atom_site_label
_atom_site_type_symbol
_atom_site_fract_x
_atom_site_fract_y
_atom_site_fract_z
Ho1 Ho 0.000 0.000 0.000
Ho2 Ho 0.000 0.500 0.131
Cu1 Cu 0.000 0.311 0.329
Sn1 Sn 0.000 0.000 0.216
Sn2 Sn 0.000 0.203 0.500
```

Top 6 peaks for 2θ = 10–90°, by intensity:
| d [Å] | Rel. int. | h k l |
| --- | --- | --- |
| 2.693 | 100 | 1 2 1 |
| 2.623 | 99 | 1 1 4 |
| 2.232 | 43 | 2 0 0 |
| 2.702 | 29 | 0 1 5 |
| 2.003 | 28 | 1 2 5 |
| 2.090 | 23 | 0 3 3 |

=====

# 8
# Li2Al
Computed X-ray powder pattern, Cu Ka. Input: a structure optimized by DFT (GGA-PBE).

Unit cell a=9.639 b=9.639 c=9.639 alpha=90.00 beta=90.00 gamma=90.00
Space group Fd-3m (No. 227, origin choice 2)
Unique sites:
1 Li 0.022 0.022 0.228 [32 per cell]
2 Al 0.000 0.000 0.500 [16 per cell]

Top 6 peaks for 2θ = 10–90°, by intensity:
| d [Å] | Rel. int. | h k l |
| --- | --- | --- |
| 5.565 | 100 | 1 1 1 |
| 2.906 | 85 | 3 1 1 |
| 2.410 | 77 | 4 0 0 |
| 2.211 | 50 | 3 3 1 |
| 1.704 | 49 | 4 4 0 |
| 2.782 | 39 | 2 2 2 |